1.
This entry pairs a crystal structure of Pm5Ho8In with its computed PXRD pattern. Radiation: copper Kα. Structure: DFT lattice parameters and positions (GGA-PBE).

```
Pm5Ho8In
1.0
7.5797 -4.1854 0.0000
7.5797 4.1854 0.0000
-4.5973 0.0000 7.2207
Pm Ho In
5 8 1
Cartesian
0.0000 0.0000 0.0000
3.5088 1.3629 5.2056
7.0534 1.3629 2.0151
5.8692 -1.4289 0.3105
4.6930 -1.4289 6.9102
0.4142 1.8998 6.7302
-1.1819 -0.4425 4.9037
3.5967 0.3864 2.0538
10.1480 1.8998 0.4905
2.1408 -2.0338 4.1526
6.9655 0.3864 5.1668
11.7441 -0.4425 2.3170
8.4214 -2.0338 3.0680
5.2811 -1.8106 3.6103
```

Main lines, sorted by position (2θ from 15° to 90°):
31.03 deg, rel. 87.4
31.47 deg, rel. 98.2
31.96 deg, rel. 86.9
32.04 deg, rel. 100.0
32.39 deg, rel. 76.5
32.81 deg, rel. 89.5

***

2.
This entry pairs a crystal structure of Pm12Ho7In with its computed PXRD pattern. Radiation: copper Kα. Structure: DFT lattice parameters and positions (GGA-PBE).

```
Pm12Ho7In
1.0
-5.7638 5.7638 5.7638
5.7638 -5.7638 5.7638
5.7638 5.7638 -5.7638
Pm Ho In
12 7 1
Cartesian
5.7638 3.2069 -3.2069
5.7638 -3.2069 3.2069
3.2069 5.7638 -3.2069
2.5568 2.5568 0.0000
2.5568 0.0000 2.5568
3.2069 -3.2069 5.7638
0.0000 2.5568 2.5568
5.7638 3.2069 3.2069
-3.2069 5.7638 3.2069
-3.2069 3.2069 5.7638
3.2069 5.7638 3.2069
3.2069 3.2069 5.7638
2.8819 2.8819 -2.8819
2.8819 -2.8819 2.8819
5.7638 0.0000 0.0000
-2.8819 2.8819 2.8819
0.0000 5.7638 0.0000
0.0000 0.0000 5.7638
2.8819 2.8819 2.8819
0.0000 0.0000 0.0000
```

Main lines, sorted by position (2θ from 15° to 90°):
15.37 deg, rel. 22.7
21.81 deg, rel. 28.7
26.79 deg, rel. 59.1
31.03 deg, rel. 100.0
38.25 deg, rel. 26.7
44.46 deg, rel. 61.6

***

3.
This entry pairs a crystal structure of Pm3HoIn3 with its computed PXRD pattern. Radiation: copper Kα. Structure: DFT lattice parameters and positions (GGA-PBE).

```
Pm3HoIn3
1.0
9.4738 0.0000 0.0000
0.0000 9.4738 0.0000
0.0000 0.0000 9.4738
Pm Ho In
12 4 12
Cartesian
0.6594 4.0775 5.3963
1.6236 7.8502 3.1133
1.6676 1.6676 1.6676
3.0693 7.8062 6.4045
3.1133 1.6236 7.8502
4.0775 5.3963 0.6594
5.3963 0.6594 4.0775
6.3605 6.3605 6.3605
6.4045 3.0693 7.8062
7.8062 6.4045 3.0693
7.8502 3.1133 1.6236
8.8144 8.8144 8.8144
0.7297 5.4666 8.7441
4.0072 4.0072 4.0072
5.4666 8.7441 0.7297
8.7441 0.7297 5.4666
0.0305 2.4204 8.2310
1.2428 4.7674 2.3165
2.3165 1.2428 4.7674
2.4204 8.2310 0.0305
3.4941 4.7064 7.0534
4.7064 7.0534 3.4941
4.7674 2.3165 1.2428
5.9797 9.4433 7.1573
7.0534 3.4941 4.7064
7.1573 5.9797 9.4433
8.2310 0.0305 2.4204
9.4433 7.1573 5.9797
```

Main lines, sorted by position (2θ from 15° to 90°):
29.82 deg, rel. 100.0
35.45 deg, rel. 73.8
46.99 deg, rel. 19.9
49.03 deg, rel. 21.7
60.21 deg, rel. 25.7
63.65 deg, rel. 15.3

***

4.
This entry pairs a crystal structure of Pm6HoIn4 with its computed PXRD pattern. Radiation: copper Kα. Structure: DFT lattice parameters and positions (GGA-PBE).

```
Pm6HoIn4
1.0
-3.2620 3.2620 8.5255
3.2620 -3.2620 8.5255
3.2620 3.2620 -8.5255
Pm Ho In
6 1 4
Cartesian
3.2620 0.0000 0.0000
1.7288 1.7288 -3.0573
1.5332 -1.5332 11.5828
0.0000 3.2620 0.0000
1.5332 1.5332 5.4681
-1.5332 1.5332 11.5828
0.0000 0.0000 0.0000
1.7096 -1.7096 6.2424
1.5524 1.5524 2.2831
-1.7096 1.7096 6.2424
1.7096 1.7096 10.8085
```

Main lines, sorted by position (2θ from 15° to 90°):
29.32 deg, rel. 100.0
31.48 deg, rel. 35.0
34.62 deg, rel. 92.5
37.16 deg, rel. 36.0
39.05 deg, rel. 66.7
50.99 deg, rel. 34.8

***

5.
This entry pairs a crystal structure of Pm8Ho5In with its computed PXRD pattern. Radiation: copper Kα. Structure: DFT lattice parameters and positions (GGA-PBE).

```
Pm8Ho5In
1.0
7.7358 -4.1991 0.0000
7.7358 4.1991 0.0000
-4.4306 0.0000 7.2092
Pm Ho In
8 5 1
Cartesian
2.9865 2.2973 3.0809
1.1090 0.0000 1.3004
1.5560 0.7949 5.6193
8.0544 2.2973 4.1283
4.5545 -1.7133 0.6059
9.4850 0.7949 1.5899
9.9320 0.0000 5.9088
6.4865 -1.7133 6.6033
5.9953 1.6879 1.6423
5.0457 1.6879 5.5669
3.7784 -1.0811 3.9455
7.2626 -1.0811 3.2637
5.5205 -3.8351 3.6046
7.7358 -1.3395 0.0000
```

Main lines, sorted by position (2θ from 15° to 90°):
29.99 deg, rel. 31.2
30.81 deg, rel. 78.3
31.11 deg, rel. 32.1
31.27 deg, rel. 56.4
31.50 deg, rel. 42.8
32.69 deg, rel. 100.0

***

6.
This entry pairs a crystal structure of PmHoIn4 with its computed PXRD pattern. Radiation: copper Kα. Structure: DFT lattice parameters and positions (GGA-PBE).

```
PmHoIn4
1.0
-2.5119 3.5569 4.3677
2.5119 -3.5569 4.3677
2.5119 3.5569 -4.3677
Pm Ho In
1 1 4
Cartesian
0.0000 0.0000 0.0000
0.0000 3.5569 0.0000
2.5119 1.8814 -1.4534
2.5119 1.8814 1.4534
0.0000 1.6755 2.9143
0.0000 1.6755 5.8211
```

Main lines, sorted by position (2θ from 15° to 90°):
32.49 deg, rel. 100.0
35.64 deg, rel. 53.9
35.75 deg, rel. 26.7
49.05 deg, rel. 20.7
62.03 deg, rel. 20.4
64.13 deg, rel. 35.7

***

Repeat the fourth record exactly.
This entry pairs a crystal structure of Pm6HoIn4 with its computed PXRD pattern. Radiation: copper Kα. Structure: DFT lattice parameters and positions (GGA-PBE).

```
Pm6HoIn4
1.0
-3.2620 3.2620 8.5255
3.2620 -3.2620 8.5255
3.2620 3.2620 -8.5255
Pm Ho In
6 1 4
Cartesian
3.2620 0.0000 0.0000
1.7288 1.7288 -3.0573
1.5332 -1.5332 11.5828
0.0000 3.2620 0.0000
1.5332 1.5332 5.4681
-1.5332 1.5332 11.5828
0.0000 0.0000 0.0000
1.7096 -1.7096 6.2424
1.5524 1.5524 2.2831
-1.7096 1.7096 6.2424
1.7096 1.7096 10.8085
```

Main lines, sorted by position (2θ from 15° to 90°):
29.32 deg, rel. 100.0
31.48 deg, rel. 35.0
34.62 deg, rel. 92.5
37.16 deg, rel. 36.0
39.05 deg, rel. 66.7
50.99 deg, rel. 34.8

***

What did the third record say?
This entry pairs a crystal structure of Pm3HoIn3 with its computed PXRD pattern. Radiation: copper Kα. Structure: DFT lattice parameters and positions (GGA-PBE).

```
Pm3HoIn3
1.0
9.4738 0.0000 0.0000
0.0000 9.4738 0.0000
0.0000 0.0000 9.4738
Pm Ho In
12 4 12
Cartesian
0.6594 4.0775 5.3963
1.6236 7.8502 3.1133
1.6676 1.6676 1.6676
3.0693 7.8062 6.4045
3.1133 1.6236 7.8502
4.0775 5.3963 0.6594
5.3963 0.6594 4.0775
6.3605 6.3605 6.3605
6.4045 3.0693 7.8062
7.8062 6.4045 3.0693
7.8502 3.1133 1.6236
8.8144 8.8144 8.8144
0.7297 5.4666 8.7441
4.0072 4.0072 4.0072
5.4666 8.7441 0.7297
8.7441 0.7297 5.4666
0.0305 2.4204 8.2310
1.2428 4.7674 2.3165
2.3165 1.2428 4.7674
2.4204 8.2310 0.0305
3.4941 4.7064 7.0534
4.7064 7.0534 3.4941
4.7674 2.3165 1.2428
5.9797 9.4433 7.1573
7.0534 3.4941 4.7064
7.1573 5.9797 9.4433
8.2310 0.0305 2.4204
9.4433 7.1573 5.9797
```

Main lines, sorted by position (2θ from 15° to 90°):
29.82 deg, rel. 100.0
35.45 deg, rel. 73.8
46.99 deg, rel. 19.9
49.03 deg, rel. 21.7
60.21 deg, rel. 25.7
63.65 deg, rel. 15.3